For MnRePb2O6, the GGA+U geometry in Alexandria gives the computed X-ray diffraction stick pattern in this record (Cu Kα, 1.54184 Å).
Intensities are scaled so that the largest is 100.

Structure:
```
data_MnRePb2O6
_space_group_name_H-M_alt 'P 1'
_space_group_IT_number 1
_cell_length_a 5.775
_cell_length_b 8.092
_cell_length_c 5.952
_cell_angle_alpha 90.00
_cell_angle_beta 90.00
_cell_angle_gamma 90.00
loop_
_space_group_symop_operation_xyz
'x,y,z'
loop_
_atom_site_label
_atom_site_fract_x
_atom_site_fract_y
_atom_site_fract_z
_atom_site_occupancy
Mn1 0.250 0.250 0.228 1
Mn2 0.750 0.750 0.772 1
Re1 0.250 0.750 0.235 1
Re2 0.750 0.250 0.765 1
Pb1 0.250 0.019 0.693 1
Pb2 0.250 0.481 0.693 1
Pb3 0.750 0.519 0.307 1
Pb4 0.750 0.981 0.307 1
O1 0.001 0.750 0.476 1
O2 0.013 0.750 0.022 1
O3 0.250 0.513 0.277 1
O4 0.250 0.987 0.277 1
O5 0.487 0.750 0.022 1
O6 0.499 0.750 0.476 1
O7 0.501 0.250 0.524 1
O8 0.513 0.250 0.978 1
O9 0.750 0.013 0.723 1
O10 0.750 0.487 0.723 1
O11 0.987 0.250 0.978 1
O12 0.999 0.250 0.524 1
```

Most intense lines, 2θ = 10–80°, low angle first:
- hkl 0 1 1, 2θ 18.50, d = 4.795 Å, rel. 14
- hkl 0 0 2, 2θ 30.03, d = 2.976 Å, rel. 16
- hkl 2 0 0, 2θ 30.90, d = 2.893 Å, rel. 100
- hkl 2 0 2, 2θ 43.68, d = 2.072 Å, rel. 18
- hkl 0 4 0, 2θ 44.80, d = 2.023 Å, rel. 10
- hkl 3 2 1, 2θ 55.04, d = 1.669 Å, rel. 16